For Ba2CdH2O2, a DFT-relaxed cell (GGA-PBE, Alexandria) gives the calculated X-ray diffraction stick pattern in this record (a wavelength of 1.5418 Å).
Peak positions follow from Bragg's law for the DFT cell and can differ from measured ones.

Structural model:
```
data_Ba2CdH2O2
_chemical_formula_sum 'Ba4 Cd2 H4 O4'
_cell_length_a 4.447
_cell_length_b 4.447
_cell_length_c 13.820
_cell_angle_alpha 90.00
_cell_angle_beta 90.00
_cell_angle_gamma 90.00
_symmetry_space_group_name_H-M 'I 4/m m m'
_symmetry_Int_Tables_number 139
_symmetry_space_group_name_Hall '-I 4 2'
loop_
_atom_site_label
_atom_site_type_symbol
_atom_site_fract_x
_atom_site_fract_y
_atom_site_fract_z
_atom_site_occupancy
Ba1 Ba 0.000 0.000 0.124 1
Cd1 Cd 0.000 0.000 0.500 1
H1 H 0.000 0.000 0.325 1
O1 O 0.000 0.500 0.000 1
```

Largest 10 diffraction maxima, in order of rising 2θ, 10° ≤ 2θ ≤ 90°:
| index | 2θ (°) | I_rel |
| --- | --- | --- |
| 0 0 2 | 12.81 | 43 |
| 1 0 3 | 27.89 | 100 |
| 1 1 0 | 28.38 | 67 |
| 1 0 5 | 38.34 | 48 |
| 1 1 4 | 38.72 | 16 |
| 2 0 0 | 40.57 | 36 |
| 2 1 3 | 49.95 | 39 |
| 2 1 5 | 57.05 | 29 |
| 1 1 8 | 61.22 | 15 |
| 2 0 8 | 68.82 | 14 |

---

For Ba2CdP4H6O16, a DFT-relaxed cell (GGA-PBE, Alexandria) gives the calculated X-ray diffraction stick pattern in this record (a wavelength of 1.5418 Å).
Peak positions follow from Bragg's law for the DFT cell and can differ from measured ones.

Structural model:
```
data_Ba2CdP4H6O16
_chemical_formula_sum 'Ba4 Cd2 P8 H12 O32'
_cell_length_a 5.509
_cell_length_b 10.472
_cell_length_c 12.346
_cell_angle_alpha 90.00
_cell_angle_beta 99.96
_cell_angle_gamma 90.00
_symmetry_space_group_name_H-M 'P 1 21/c 1'
_symmetry_Int_Tables_number 14
_symmetry_space_group_name_Hall '-P 2ybc'
loop_
_atom_site_label
_atom_site_type_symbol
_atom_site_fract_x
_atom_site_fract_y
_atom_site_fract_z
_atom_site_occupancy
Ba1 Ba 0.143 0.158 0.326 1
Cd1 Cd 0.000 0.000 0.000 1
P1 P 0.235 0.701 0.945 1
P2 P 0.412 0.008 0.800 1
H1 H 0.295 0.542 0.065 1
H2 H 0.380 0.671 0.757 1
H3 H 0.436 0.179 0.063 1
O1 O 0.070 0.723 0.508 1
O2 O 0.163 0.700 0.820 1
O3 O 0.171 0.009 0.845 1
O4 O 0.237 0.555 0.982 1
O5 O 0.367 0.057 0.124 1
O6 O 0.378 0.560 0.187 1
O7 O 0.476 0.155 0.784 1
O8 O 0.483 0.242 0.521 1
```

Largest 10 diffraction maxima, in order of rising 2θ, 10° ≤ 2θ ≤ 90°:
| index | 2θ (°) | I_rel |
| --- | --- | --- |
| 1 0 0 | 16.34 | 25 |
| 0 2 1 | 18.44 | 46 |
| 1 0 2 | 23.81 | 58 |
| 1 1 2 | 25.29 | 39 |
| 1 2 -2 | 26.29 | 53 |
| 0 3 1 | 26.52 | 100 |
| 0 1 4 | 30.63 | 37 |
| 1 3 1 | 32.03 | 70 |
| 2 1 -1 | 33.69 | 46 |
| 2 0 -4 | 40.54 | 24 |

---

For Ba2CdH6Ru, a DFT-relaxed cell (GGA-PBE, Alexandria) gives the calculated X-ray diffraction stick pattern in this record (a wavelength of 1.5418 Å).
Peak positions follow from Bragg's law for the DFT cell and can differ from measured ones.

Structural model:
```
data_Ba2CdH6Ru
_chemical_formula_sum 'Ba2 Cd1 H6 Ru1'
_cell_length_a 5.8123
_cell_length_b 5.8123
_cell_length_c 5.3532
_cell_angle_alpha 90.00
_cell_angle_beta 90.00
_cell_angle_gamma 120.00
_symmetry_space_group_name_H-M 'P -3 m 1'
_symmetry_Int_Tables_number 164
_symmetry_space_group_name_Hall '-P 3 2"'
loop_
_atom_site_label
_atom_site_type_symbol
_atom_site_fract_x
_atom_site_fract_y
_atom_site_fract_z
_atom_site_occupancy
Ba1 Ba 0.3333 0.6667 0.2849 1
Cd1 Cd 0.0000 0.0000 0.0000 1
H1 H 0.1491 0.2981 0.6754 1
Ru1 Ru 0.0000 0.0000 0.5000 1
```

Largest 10 diffraction maxima, in order of rising 2θ, 10° ≤ 2θ ≤ 90°:
| index | 2θ (°) | I_rel |
| --- | --- | --- |
| 1 0 0 | 17.62 | 15 |
| 0 1 1 | 24.27 | 80 |
| 1 1 0 | 30.77 | 100 |
| 1 0 2 | 38.08 | 59 |
| 2 0 1 | 39.57 | 23 |
| 0 2 2 | 49.73 | 28 |
| 1 2 1 | 50.94 | 21 |
| 3 0 0 | 54.70 | 19 |
| 2 1 2 | 59.62 | 31 |
| 1 3 2 | 77.04 | 15 |